# 1
LaPmTm: calculated powder X-ray diffraction pattern (copper Kα), based on a crystal structure in Alexandria, relaxed with GGA-PBE.

Structure:
Lattice parameters (Å, degrees): 3.650 3.650 15.282 90.00 90.00 90.00
Space group I4mm (No. 107)
Symmetry-distinct sites (fractional):
La  0.000  0.000  0.000 x2
Pm  0.000  0.000  0.672 x2
Tm  0.000  0.000  0.333 x2

Largest 6 diffraction maxima, in order of falling intensity, 2θ = 15–90°:
hkl  two_theta  Rel. int.
1 0 3  30.1  100
1 1 0  34.8  34
2 1 3  59.5  29
1 1 6  50.3  24
0 0 6  35.2  16
1 0 9  60.1  14

---

# 2
TbHoBr: calculated powder X-ray diffraction pattern (copper Kα), based on a crystal structure in Alexandria, relaxed with GGA-PBE.

Structure:
Lattice parameters (Å, degrees): 3.7170 3.7170 7.2759 90.00 90.00 120.00
Space group P3m1 (No. 156)
Symmetry-distinct sites (fractional):
Tb  0.0000  0.0000  0.0000 x1
Ho  0.6667  0.3333  0.3636 x1
Br  0.3333  0.6667  0.6795 x1

Largest 6 diffraction maxima, in order of falling intensity, 2θ = 15–90°:
hkl  two_theta  Rel. int.
1 0 1  30.4  100
0 1 2  37.3  53
1 1 0  49.0  25
1 1 3  63.0  22
0 0 3  37.1  17
1 0 4  58.3  16

---

# 3
Ba2AlCuH6: calculated powder X-ray diffraction pattern (copper Kα), based on a crystal structure in Alexandria, relaxed with GGA-PBE.

Structure:
Lattice parameters (Å, degrees): 5.352 5.352 9.648 90.00 90.00 90.00
Space group I4mm (No. 107)
Symmetry-distinct sites (fractional):
Ba  0.000  0.500  0.000 x4
Al  0.000  0.000  0.290 x2
Cu  0.000  0.000  0.765 x2
H  0.000  0.000  0.112 x2
H  0.000  0.000  0.596 x2
H  0.240  0.240  0.799 x8

Largest 6 diffraction maxima, in order of falling intensity, 2θ = 15–90°:
hkl  two_theta  Rel. int.
1 1 2  30.0  100
2 0 0  33.5  38
3 1 2  57.7  30
2 0 4  51.0  21
1 1 0  23.5  19
0 0 2  18.4  18

---

# 4
Sm2UNiS5: calculated powder X-ray diffraction pattern (copper Kα), based on a crystal structure in Alexandria, relaxed with GGA-PBE.

Structure:
Lattice parameters (Å, degrees): 3.800 16.387 11.891 90.00 90.00 90.00
Space group Cmc2_1 (No. 36)
Symmetry-distinct sites (fractional):
Sm  0.000  0.112  0.000 x4
Sm  0.000  0.116  0.346 x4
U  0.000  0.176  0.678 x4
Ni  0.000  0.446  0.070 x4
S  0.000  0.017  0.662 x4
S  0.000  0.302  0.342 x4
S  0.000  0.316  0.014 x4
S  0.000  0.342  0.672 x4
S  0.000  0.495  0.400 x4

Largest 6 diffraction maxima, in order of falling intensity, 2θ = 15–90°:
hkl  two_theta  Rel. int.
1 1 3  33.1  100
0 2 3  25.0  62
1 5 2  39.3  40
1 3 0  28.6  31
0 4 0  21.7  24
1 1 0  24.0  22

---

# 5
PmNd2Cu2Sn2: calculated powder X-ray diffraction pattern (copper Kα), based on a crystal structure in Alexandria, relaxed with GGA-PBE.

Structure:
Lattice parameters (Å, degrees): 4.6100 4.6100 28.9676 90.00 90.00 120.00
Space group R-3m (No. 166, hexagonal axes)
Symmetry-distinct sites (fractional):
Pm  0.0000  0.0000  0.0000 x3
Nd  0.0000  0.0000  0.1280 x6
Cu  0.0000  0.0000  0.4026 x6
Sn  0.0000  0.0000  0.2659 x6

Largest 6 diffraction maxima, in order of falling intensity, 2θ = 15–90°:
hkl  two_theta  Rel. int.
1 1 0  39.1  100
1 0 7  31.1  96
0 1 8  33.4  90
1 1 15  62.8  45
1 0 1  22.5  27
2 0 8  52.3  25

---

# 6
CuClO: calculated powder X-ray diffraction pattern (copper Kα), based on a crystal structure in Alexandria, relaxed with GGA-PBE.

Structure:
Lattice parameters (Å, degrees): 6.484 6.280 5.358 90.00 110.93 90.00
Space group P2_1/c (No. 14)
Symmetry-distinct sites (fractional):
Cu  0.041  0.115  0.289 x4
Cl  0.300  0.068  0.121 x4
O  0.094  0.653  0.950 x4

Largest 6 diffraction maxima, in order of falling intensity, 2θ = 15–90°:
hkl  two_theta  Rel. int.
0 2 1  33.7  100
1 1 1  30.5  82
1 2 1  39.5  58
2 0 -2  37.6  52
3 0 -2  46.6  28
2 2 -3  60.6  27

---

# 7
Sc4AlS2: calculated powder X-ray diffraction pattern (copper Kα), based on a crystal structure in Alexandria, relaxed with GGA-PBE.

Structure:
Lattice parameters (Å, degrees): 3.648 12.249 12.553 90.00 90.00 90.00
Space group Cmcm (No. 63)
Symmetry-distinct sites (fractional):
Sc  0.000  0.000  0.000 x4
Sc  0.000  0.268  0.119 x8
Sc  0.000  0.427  0.750 x4
Al  0.000  0.105  0.750 x4
S  0.000  0.365  0.558 x8

Largest 6 diffraction maxima, in order of falling intensity, 2θ = 15–90°:
hkl  two_theta  Rel. int.
1 3 1  33.7  100
0 2 4  32.0  80
1 3 2  36.0  48
1 1 5  44.4  42
1 3 0  32.9  34
1 5 3  49.9  30

---

# 8
TbNd5: calculated powder X-ray diffraction pattern (copper Kα), based on a crystal structure in Alexandria, relaxed with GGA-PBE.

Structure:
Lattice parameters (Å, degrees): 5.174 15.559 5.176 90.00 90.00 90.00
Space group Cmmm (No. 65)
Symmetry-distinct sites (fractional):
Tb  0.000  0.000  0.000 x2
Nd  0.000  0.166  0.500 x4
Nd  0.000  0.334  0.000 x4
Nd  0.000  0.500  0.500 x2

Largest 6 diffraction maxima, in order of falling intensity, 2θ = 15–90°:
hkl  two_theta  Rel. int.
1 3 1  29.9  100
2 0 0  34.6  51
2 6 0  49.8  36
1 9 1  59.1  29
3 9 1  80.9  18
3 3 1  59.2  14